No. 1
Diffraction record for TlH3Pd2. The powder diffractogram is calculated, not measured: it uses a cell relaxed with PBE and Cu Kα, 1.54184 Å.
Peak positions follow from Bragg's law for the DFT cell and can differ from measured ones.

Largest 10 diffraction maxima, low angle first, 2θ = 15–90°:
(0 0 1), 2θ 15.55, I 74
(1 -1 0), 2θ 21.73, I 52
(1 0 1), 2θ 26.22, I 82
(1 -1 1), 2θ 26.72, I 68
(1 -2 0), 2θ 33.62, I 75
(1 0 -2), 2θ 34.11, I 63
(-1 2 1), 2θ 38.67, I 71
(2 0 -1), 2θ 38.79, I 100
(0 2 -2), 2θ 40.92, I 94
(1 2 0), 2θ 41.40, I 62

Structure:
```
data_TlH3Pd2
_chemical_formula_sum 'Tl2 H6 Pd4'
_cell_length_a 4.9077
_cell_length_b 5.7484
_cell_length_c 5.8455
_cell_angle_alpha 99.34
_cell_angle_beta 96.66
_cell_angle_gamma 101.80
_space_group_name_H-M_alt 'P -1'
_space_group_IT_number 2
_space_group_name_Hall '-P 1'
loop_
_atom_site_label
_atom_site_type_symbol
_atom_site_fract_x
_atom_site_fract_y
_atom_site_fract_z
Tl1 Tl 0.1715 0.3538 0.3037
H1 H 0.0002 0.2187 0.8410
H2 H 0.3401 0.5922 0.9547
H3 H 0.4574 0.0254 0.6969
Pd1 Pd 0.2111 0.8981 0.4213
Pd2 Pd 0.3632 0.3094 0.8182
```


No. 2
Diffraction record for Pt5Br. The powder diffractogram is calculated, not measured: it uses a cell relaxed with PBE and Cu Kα, 1.54184 Å.
Peak positions follow from Bragg's law for the DFT cell and can differ from measured ones.

Largest 10 diffraction maxima, low angle first, 2θ = 15–90°:
(1 0 0), 2θ 21.00, I 7
(1 1 0), 2θ 36.80, I 24
(0 0 2), 2θ 37.29, I 30
(1 1 1), 2θ 41.44, I 100
(1 1 2), 2θ 53.40, I 17
(3 0 0), 2θ 66.29, I 16
(1 1 3), 2θ 70.08, I 22
(3 0 2), 2θ 78.60, I 21
(0 0 4), 2θ 79.50, I 3
(2 2 1), 2θ 81.27, I 14

Structure:
```
data_Pt5Br
_chemical_formula_sum 'Pt5 Br1'
_cell_length_a 4.8845
_cell_length_b 4.8845
_cell_length_c 4.8226
_cell_angle_alpha 90.00
_cell_angle_beta 90.00
_cell_angle_gamma 120.00
_space_group_name_H-M_alt 'P -6 2 m'
_space_group_IT_number 189
_space_group_name_Hall 'P -6 -2'
loop_
_atom_site_label
_atom_site_type_symbol
_atom_site_fract_x
_atom_site_fract_y
_atom_site_fract_z
Pt1 Pt 0.0000 0.6516 0.0000
Pt2 Pt 0.3333 0.6667 0.5000
Br1 Br 0.0000 0.0000 0.5000
```


No. 3
Diffraction record for Sr2Si6Rh9. The powder diffractogram is calculated, not measured: it uses a cell relaxed with PBE and Cu Kα, 1.54184 Å.
Peak positions follow from Bragg's law for the DFT cell and can differ from measured ones.

Largest 10 diffraction maxima, low angle first, 2θ = 15–90°:
(1 0 0), 2θ 17.57, I 30
(0 0 3), 2θ 25.99, I 27
(1 0 3), 2θ 31.55, I 37
(2 0 0), 2θ 35.57, I 100
(1 1 3), 2θ 40.63, I 51
(2 0 3), 2θ 44.58, I 75
(2 1 3), 2θ 55.09, I 15
(2 2 0), 2θ 63.88, I 27
(2 0 6), 2θ 65.87, I 26
(2 2 6), 2θ 87.96, I 20

Structure:
```
data_Sr2Si6Rh9
_chemical_formula_sum 'Sr2 Si6 Rh9'
_cell_length_a 5.8286
_cell_length_b 5.8286
_cell_length_c 10.2837
_cell_angle_alpha 90.00
_cell_angle_beta 90.00
_cell_angle_gamma 120.00
_space_group_name_H-M_alt 'P 6/m m m'
_space_group_IT_number 191
_space_group_name_Hall '-P 6 2'
loop_
_atom_site_label
_atom_site_type_symbol
_atom_site_fract_x
_atom_site_fract_y
_atom_site_fract_z
Sr1 Sr 0.0000 0.0000 0.1957
Si1 Si 0.3333 0.6667 0.1682
Si2 Si 0.3333 0.6667 0.5000
Rh1 Rh 0.0000 0.5000 0.0000
Rh2 Rh 0.0000 0.5000 0.3369
```


No. 4
Diffraction record for Tb12DyTh7. The powder diffractogram is calculated, not measured: it uses a cell relaxed with PBE and Cu Kα, 1.54184 Å.
Peak positions follow from Bragg's law for the DFT cell and can differ from measured ones.

Largest 10 diffraction maxima, low angle first, 2θ = 15–90°:
(2 0 0), 2θ 15.33, I 20
(2 2 0), 2θ 21.75, I 43
(2 2 2), 2θ 26.72, I 50
(4 0 0), 2θ 30.95, I 100
(4 2 2), 2θ 38.14, I 21
(4 4 0), 2θ 44.33, I 75
(6 2 2), 2θ 52.51, I 23
(4 4 4), 2θ 55.04, I 27
(8 4 0), 2θ 73.24, I 34
(8 4 4), 2θ 81.61, I 26

Structure:
```
data_Tb12DyTh7
_chemical_formula_sum 'Tb24 Dy2 Th14'
_cell_length_a 11.5589
_cell_length_b 11.5589
_cell_length_c 11.5589
_cell_angle_alpha 90.00
_cell_angle_beta 90.00
_cell_angle_gamma 90.00
_space_group_name_H-M_alt 'I m -3'
_space_group_IT_number 204
_space_group_name_Hall '-I 2 2 3'
loop_
_atom_site_label
_atom_site_type_symbol
_atom_site_fract_x
_atom_site_fract_y
_atom_site_fract_z
Tb1 Tb 0.0000 0.2548 0.2539
Dy1 Dy 0.0000 0.0000 0.0000
Th1 Th 0.0000 0.0000 0.5000
Th2 Th 0.2500 0.2500 0.2500
```


No. 5
Diffraction record for Rb2PO. The powder diffractogram is calculated, not measured: it uses a cell relaxed with PBE and Cu Kα, 1.54184 Å.
Peak positions follow from Bragg's law for the DFT cell and can differ from measured ones.

Largest 10 diffraction maxima, low angle first, 2θ = 15–90°:
(2 2 0), 2θ 21.22, I 72
(1 0 1), 2θ 24.59, I 44
(2 1 1), 2θ 28.91, I 100
(4 0 0), 2θ 30.19, I 97
(3 2 1), 2θ 36.14, I 46
(4 1 1), 2θ 39.31, I 36
(4 4 0), 2θ 43.22, I 29
(2 0 2), 2θ 50.41, I 30
(6 1 1), 2θ 52.83, I 25
(4 2 2), 2θ 59.89, I 30

Structure:
```
data_Rb2PO
_chemical_formula_sum 'Rb8 P4 O4'
_cell_length_a 11.8422
_cell_length_b 11.8422
_cell_length_c 3.8027
_cell_angle_alpha 90.00
_cell_angle_beta 90.00
_cell_angle_gamma 90.00
_space_group_name_H-M_alt 'I -4 2 d'
_space_group_IT_number 122
_space_group_name_Hall 'I -4 2bw'
loop_
_atom_site_label
_atom_site_type_symbol
_atom_site_fract_x
_atom_site_fract_y
_atom_site_fract_z
Rb1 Rb 0.0241 0.7500 0.1250
P1 P 0.0000 0.0000 0.5000
O1 O 0.0000 0.0000 0.0000
```


No. 6
Diffraction record for Ta5Nb4Pt2. The powder diffractogram is calculated, not measured: it uses a cell relaxed with PBE and Cu Kα, 1.54184 Å.
Peak positions follow from Bragg's law for the DFT cell and can differ from measured ones.

Largest 10 diffraction maxima, low angle first, 2θ = 15–90°:
(0 3 -1), 2θ 38.43, I 52
(0 1 -4), 2θ 38.61, I 100
(1 0 2), 2θ 38.66, I 48
(1 1 -2), 2θ 39.32, I 97
(1 -3 3), 2θ 54.55, I 17
(1 3 1), 2θ 56.73, I 17
(-1 1 5), 2θ 56.92, I 16
(0 4 -5), 2θ 69.14, I 17
(1 4 -3), 2θ 70.58, I 17
(1 2 -6), 2θ 70.80, I 24

Structure:
```
data_Ta5Nb4Pt2
_chemical_formula_sum 'Ta5 Nb4 Pt2'
_cell_length_a 2.8389
_cell_length_b 7.2155
_cell_length_c 9.6614
_cell_angle_alpha 93.80
_cell_angle_beta 94.27
_cell_angle_gamma 99.01
_space_group_name_H-M_alt 'P -1'
_space_group_IT_number 2
_space_group_name_Hall '-P 1'
loop_
_atom_site_label
_atom_site_type_symbol
_atom_site_fract_x
_atom_site_fract_y
_atom_site_fract_z
Ta1 Ta 0.0000 0.0000 0.0000
Ta2 Ta 0.0959 0.8141 0.4549
Ta3 Ta 0.2964 0.4528 0.3633
Nb1 Nb 0.3747 0.2859 0.8297
Nb2 Nb 0.4549 0.0814 0.2709
Pt1 Pt 0.1155 0.6468 0.8996
```